Entry 1:
K2B2H7: theoretical X-ray diffraction stick pattern (Cu Ka), based on a cell relaxed with PBE.

Cell and atoms:
```
data_K2B2H7
_space_group_name_H-M_alt 'P 1'
_space_group_IT_number 1
_cell_length_a 6.1584
_cell_length_b 6.1584
_cell_length_c 4.4471
_cell_angle_alpha 107.99
_cell_angle_beta 107.99
_cell_angle_gamma 85.36
loop_
_space_group_symop_operation_xyz
'x,y,z'
loop_
_atom_site_label
_atom_site_type_symbol
_atom_site_fract_x
_atom_site_fract_y
_atom_site_fract_z
K1 K 0.2399 0.7601 0.0000
K2 K 0.7601 0.2399 0.0000
B1 B 0.1788 0.1788 0.6862
B2 B 0.8212 0.8212 0.3138
H1 H 0.0000 0.0000 0.5000
H2 H 0.0928 0.3388 0.5879
H3 H 0.2057 0.2057 0.9795
H4 H 0.3388 0.0928 0.5879
H5 H 0.6612 0.9072 0.4121
H6 H 0.7943 0.7943 0.0205
H7 H 0.9072 0.6612 0.4121
```

Peak list (6 most intense, 15° ≤ 2θ ≤ 90°, by angle)
2θ (°)  d/Å  Rel. int.
21.63  4.109  54
22.03  4.036  65
23.53  3.780  59
30.52  2.929  100
30.82  2.902  81
31.94  2.802  85

=====

Entry 2:
KNaB2H8: theoretical X-ray diffraction stick pattern (Cu Ka), based on a cell relaxed with PBE.

Cell and atoms:
```
data_KNaB2H8
_space_group_name_H-M_alt 'P 1'
_space_group_IT_number 1
_cell_length_a 7.8150
_cell_length_b 7.8150
_cell_length_c 7.8150
_cell_angle_alpha 33.58
_cell_angle_beta 33.58
_cell_angle_gamma 33.58
loop_
_space_group_symop_operation_xyz
'x,y,z'
loop_
_atom_site_label
_atom_site_type_symbol
_atom_site_fract_x
_atom_site_fract_y
_atom_site_fract_z
K1 K 0.0000 0.0000 0.0000
Na1 Na 0.4954 0.4954 0.4954
B1 B 0.2476 0.2476 0.2476
B2 B 0.7587 0.7587 0.7587
H1 H 0.0356 0.5916 0.5927
H2 H 0.1954 0.9915 0.5025
H3 H 0.3033 0.3033 0.3033
H4 H 0.5025 0.1954 0.9915
H5 H 0.5916 0.5927 0.0356
H6 H 0.5927 0.0356 0.5916
H7 H 0.8141 0.8141 0.8141
H8 H 0.9915 0.5025 0.1954
```

Peak list (6 most intense, 15° ≤ 2θ ≤ 90°, by angle)
2θ (°)  d/Å  Rel. int.
24.15  3.686  45
27.95  3.192  100
39.94  2.257  63
47.22  1.925  33
49.46  1.843  20
65.37  1.427  23

=====

Entry 3:
KNaB2H8: theoretical X-ray diffraction stick pattern (Cu Ka), based on a cell relaxed with PBE.

Cell and atoms:
```
data_KNaB2H8
_space_group_name_H-M_alt 'P 1'
_space_group_IT_number 1
_cell_length_a 7.3976
_cell_length_b 7.3976
_cell_length_c 7.3976
_cell_angle_alpha 36.01
_cell_angle_beta 36.01
_cell_angle_gamma 36.01
loop_
_space_group_symop_operation_xyz
'x,y,z'
loop_
_atom_site_label
_atom_site_type_symbol
_atom_site_fract_x
_atom_site_fract_y
_atom_site_fract_z
K1 K 0.0000 0.0000 0.0000
Na1 Na 0.5000 0.5000 0.5000
B1 B 0.2391 0.2391 0.2391
B2 B 0.7609 0.7609 0.7609
H1 H 0.0329 0.5949 0.5949
H2 H 0.1799 0.1799 0.1799
H3 H 0.4051 0.4051 0.9671
H4 H 0.4051 0.9671 0.4051
H5 H 0.5949 0.0329 0.5949
H6 H 0.5949 0.5949 0.0329
H7 H 0.8201 0.8201 0.8201
H8 H 0.9671 0.4051 0.4051
```

Peak list (6 most intense, 15° ≤ 2θ ≤ 90°, by angle)
2θ (°)  d/Å  Rel. int.
24.05  3.700  37
28.36  3.147  100
39.40  2.287  36
41.65  2.169  29
47.69  1.907  18
49.26  1.850  16

=====

Entry 4:
KRbB2H8: theoretical X-ray diffraction stick pattern (Cu Ka), based on a cell relaxed with PBE.

Cell and atoms:
```
data_KRbB2H8
_space_group_name_H-M_alt 'P 1'
_space_group_IT_number 1
_cell_length_a 4.6827
_cell_length_b 4.6827
_cell_length_c 8.0131
_cell_angle_alpha 90.00
_cell_angle_beta 90.00
_cell_angle_gamma 120.00
loop_
_space_group_symop_operation_xyz
'x,y,z'
loop_
_atom_site_label
_atom_site_type_symbol
_atom_site_fract_x
_atom_site_fract_y
_atom_site_fract_z
K1 K 0.0000 0.0000 0.0000
Rb1 Rb 0.0000 0.0000 0.5000
B1 B 0.3333 0.6667 0.2475
B2 B 0.6667 0.3333 0.7525
H1 H 0.0459 0.5230 0.1983
H2 H 0.3333 0.6667 0.4008
H3 H 0.4770 0.5230 0.1983
H4 H 0.4770 0.9541 0.1983
H5 H 0.5230 0.0459 0.8017
H6 H 0.5230 0.4770 0.8017
H7 H 0.6667 0.3333 0.5992
H8 H 0.9541 0.4770 0.8017
```

Peak list (6 most intense, 15° ≤ 2θ ≤ 90°, by angle)
2θ (°)  d/Å  Rel. int.
21.92  4.055  84
22.19  4.007  22
24.60  3.618  23
31.39  2.850  100
38.45  2.341  30
44.84  2.021  24